Record 1
Diffraction record for Na4ZnCdPd2. The PXRD pattern is calculated, not measured: it uses a crystal structure in OQMD, relaxed with GGA-PBE and Cu Ka.

The 10 most intense peaks (5° ≤ 2θ ≤ 70°), sorted by position:
2θ (°)  intensity
22.72  70
37.43  100
37.73  50
43.97  11
44.49  23
53.52  8
54.42  17
59.30  9
67.33  16
67.91  32

Cell and atoms:
```
Na4ZnCdPd2
1.0
4.769 0.000 0.000
0.000 4.769 0.000
0.000 0.000 6.849
Na Zn Cd Pd
4 1 1 2
direct
0.000 0.000 0.000
0.000 0.500 0.239
0.500 0.000 0.761
0.500 0.500 0.500
0.500 0.500 0.000
0.000 0.000 0.500
0.000 0.500 0.766
0.500 0.000 0.234
```


Record 2
Diffraction record for ZnCu17. The PXRD pattern is calculated, not measured: it uses a crystal structure in OQMD, relaxed with GGA-PBE and Cu Ka.

The 10 most intense peaks (5° ≤ 2θ ≤ 70°), sorted by position:
2θ (°)  intensity
5.60  92
8.41  23
11.22  18
42.55  25
42.99  33
43.45  100
44.53  31
48.76  14
50.47  62
52.31  21

Cell and atoms:
```
ZnCu17
1.0
5.096 0.000 0.000
-2.548 4.413 0.000
0.000 0.000 31.556
Zn Cu
2 34
direct
0.333 0.667 0.268
0.667 0.333 0.732
0.000 0.000 0.000
0.000 0.000 0.198
0.000 0.000 0.802
0.000 0.500 0.000
0.000 0.500 0.198
0.000 0.500 0.802
0.167 0.333 0.132
0.167 0.333 0.736
0.167 0.333 0.934
0.167 0.833 0.132
0.167 0.833 0.736
0.167 0.833 0.934
0.333 0.167 0.066
0.333 0.167 0.264
0.333 0.167 0.868
0.333 0.667 0.066
0.333 0.667 0.869
0.500 0.000 0.000
0.500 0.000 0.198
0.500 0.000 0.802
0.500 0.500 0.000
0.500 0.500 0.198
0.500 0.500 0.802
0.667 0.333 0.131
0.667 0.333 0.934
0.667 0.833 0.132
0.667 0.833 0.736
0.667 0.833 0.934
0.833 0.167 0.066
0.833 0.167 0.264
0.833 0.167 0.868
0.833 0.667 0.066
0.833 0.667 0.264
0.833 0.667 0.868
```


Record 3
Diffraction record for Y3Tm5Te. The PXRD pattern is calculated, not measured: it uses a crystal structure in OQMD, relaxed with GGA-PBE and Cu Ka.

The 10 most intense peaks (5° ≤ 2θ ≤ 70°), sorted by position:
2θ (°)  intensity
19.43  18
23.58  17
29.88  47
30.73  100
32.80  71
33.99  98
38.41  54
48.23  20
56.23  48
60.31  38

Cell and atoms:
```
Y3Tm5Te
1.0
9.137 0.000 0.000
-4.568 7.913 0.000
0.000 0.000 3.773
Y Tm Te
3 5 1
direct
0.000 0.615 0.000
0.385 0.385 0.000
0.615 0.000 0.000
0.000 0.275 0.500
0.275 0.000 0.500
0.333 0.667 0.500
0.667 0.333 0.500
0.725 0.725 0.500
0.000 0.000 0.000
```


Record 4
Diffraction record for Tm2Al3InNi2. The PXRD pattern is calculated, not measured: it uses a crystal structure in OQMD, relaxed with GGA-PBE and Cu Ka.

The 10 most intense peaks (5° ≤ 2θ ≤ 70°), sorted by position:
2θ (°)  intensity
21.82  19
23.40  36
25.54  28
26.72  15
34.92  100
36.95  91
38.03  15
38.15  31
44.10  30
59.67  25

Cell and atoms:
```
Tm2Al3InNi2
1.0
10.043 0.000 0.000
0.000 4.107 0.000
-0.032 0.000 6.974
Tm Al In Ni
4 6 2 4
direct
0.000 0.000 0.000
0.130 0.000 0.519
0.500 0.500 0.000
0.630 0.500 0.519
0.213 0.500 0.820
0.218 0.500 0.208
0.409 0.000 0.712
0.713 0.000 0.820
0.718 0.000 0.208
0.909 0.500 0.712
0.424 0.000 0.311
0.924 0.500 0.311
0.272 0.000 0.005
0.343 0.500 0.526
0.772 0.500 0.005
0.843 0.000 0.526
```


Record 5
Diffraction record for Li2ReTeO6. The PXRD pattern is calculated, not measured: it uses a crystal structure in OQMD, relaxed with GGA-PBE and Cu Ka.

The 10 most intense peaks (5° ≤ 2θ ≤ 70°), sorted by position:
2θ (°)  intensity
19.72  45
20.97  100
32.58  73
33.87  14
35.77  24
40.17  31
42.15  12
50.92  17
52.30  28
59.78  14

Cell and atoms:
```
Li2ReTeO6
1.0
4.877 0.000 0.000
0.000 5.294 0.000
0.000 0.000 8.555
Li Re Te O
4 2 2 12
direct
0.000 0.000 0.000
0.000 0.500 0.401
0.500 0.000 0.901
0.500 0.500 0.500
0.000 0.500 0.797
0.500 0.000 0.297
0.000 0.000 0.610
0.500 0.500 0.110
0.207 0.345 0.627
0.215 0.820 0.789
0.230 0.327 0.944
0.270 0.827 0.444
0.285 0.320 0.289
0.293 0.845 0.127
0.707 0.155 0.127
0.715 0.680 0.289
0.730 0.173 0.444
0.770 0.673 0.944
0.785 0.180 0.789
0.793 0.655 0.627
```


Record 6
Diffraction record for Tm2CoSi4Ir. The PXRD pattern is calculated, not measured: it uses a crystal structure in OQMD, relaxed with GGA-PBE and Cu Ka.

The 10 most intense peaks (5° ≤ 2θ ≤ 70°), sorted by position:
2θ (°)  intensity
10.59  28
21.27  39
30.98  44
32.09  100
34.96  75
35.60  71
39.44  32
45.26  31
45.42  30
58.57  34

Cell and atoms:
```
Tm2CoSi4Ir
1.0
3.994 0.000 0.000
0.000 4.007 0.000
0.000 0.000 16.711
Tm Co Si Ir
4 2 8 2
direct
0.000 0.000 0.000
0.000 0.500 0.500
0.500 0.000 0.211
0.500 0.500 0.711
0.500 0.000 0.432
0.500 0.500 0.932
0.000 0.000 0.365
0.000 0.000 0.642
0.000 0.500 0.142
0.000 0.500 0.865
0.500 0.000 0.563
0.500 0.000 0.865
0.500 0.500 0.063
0.500 0.500 0.365
0.000 0.000 0.783
0.000 0.500 0.283
```